(1)
Diffraction record for Ba4SiN4. The powder X-ray diffraction pattern is computed, not measured: it uses the PBE geometry in the Materials Project and a wavelength of 1.5418 Å.

Top 10 peaks for 10 to 90 degrees two-theta, by intensity:
28.15°, intensity 100
29.76°, intensity 58
27.69°, intensity 51
34.39°, intensity 42
28.05°, intensity 41
43.57°, intensity 31
27.17°, intensity 29
25.42°, intensity 25
54.85°, intensity 24
52.41°, intensity 23

Atomic structure:
```
36
Lattice="12.884 0.000 0.000 0.000 4.031 0.000 0.000 0.000 16.967" Properties=species:S:1:pos:R:3 pbc="T T T"
Ba 1.425 1.008 1.967
Ba 1.516 3.023 5.602
Ba 1.644 1.008 9.072
Ba 1.807 3.023 12.423
Ba 4.635 1.008 3.940
Ba 4.798 3.023 0.588
Ba 4.926 1.008 14.085
Ba 5.017 3.023 10.451
Ba 7.868 1.008 6.516
Ba 7.958 3.023 2.882
Ba 8.086 1.008 16.379
Ba 8.249 3.023 13.027
Ba 11.077 1.008 4.544
Ba 11.240 3.023 7.895
Ba 11.368 1.008 11.365
Ba 11.459 3.023 15.000
Si 1.669 1.008 15.552
Si 4.773 3.023 7.068
Si 8.111 1.008 9.899
Si 11.216 3.023 1.415
N 12.882 1.008 6.535
N 0.002 3.023 10.432
N 0.697 1.008 14.238
N 2.893 3.023 3.097
N 3.038 1.008 16.447
N 3.404 3.023 7.963
N 3.549 1.008 11.580
N 5.745 3.023 5.755
N 6.440 1.008 1.948
N 6.444 3.023 15.018
N 7.139 1.008 11.212
N 9.336 3.023 5.387
N 9.480 1.008 9.004
N 9.847 3.023 0.520
N 9.991 1.008 13.870
N 12.188 3.023 2.728
```



(2)
Diffraction record for BaSnN2. The powder X-ray diffraction pattern is computed, not measured: it uses the PBE geometry in the Materials Project and a wavelength of 1.5418 Å.

Top 10 peaks for 10 to 90 degrees two-theta, by intensity:
27.46°, intensity 100
27.33°, intensity 97
28.58°, intensity 74
29.51°, intensity 47
41.54°, intensity 46
49.90°, intensity 38
38.97°, intensity 33
37.51°, intensity 28
56.33°, intensity 24
43.96°, intensity 19

Atomic structure:
```
16
Lattice="3.123 -6.548 0.000 3.123 6.548 0.000 0.000 0.000 7.948" Properties=species:S:1:pos:R:3 pbc="T T T"
Ba 3.123 4.214 7.280
Ba 3.123 2.334 3.306
Ba 3.123 -2.334 4.642
Ba 3.123 -4.214 0.668
Sn 3.123 5.713 2.770
Sn 3.123 0.836 6.744
Sn 3.123 -0.836 1.204
Sn 3.123 -5.713 5.178
N 3.123 5.290 4.864
N 1.562 1.965 5.961
N 1.562 -1.965 1.987
N 3.123 1.258 0.889
N 3.123 -1.258 7.059
N 4.685 1.965 5.961
N 4.685 -1.965 1.987
N 3.123 -5.290 3.085
```



(3)
Diffraction record for BaSnN2. The powder X-ray diffraction pattern is computed, not measured: it uses the PBE geometry in the Materials Project and a wavelength of 1.5418 Å.

Top 10 peaks for 10 to 90 degrees two-theta, by intensity:
29.94°, intensity 100
30.42°, intensity 59
53.75°, intensity 40
43.56°, intensity 27
52.85°, intensity 20
87.67°, intensity 11
71.83°, intensity 10
62.20°, intensity 10
86.94°, intensity 10
71.58°, intensity 9

Atomic structure:
```
8
Lattice="4.156 0.000 0.000 0.000 4.156 0.000 0.000 0.000 8.579" Properties=species:S:1:pos:R:3 pbc="T T T"
Ba 1.039 1.039 1.296
Ba 3.117 3.117 7.283
Sn 1.039 1.039 5.162
Sn 3.117 3.117 3.417
N 1.039 1.039 7.211
N 1.039 3.117 4.290
N 3.117 1.039 4.290
N 3.117 3.117 1.368
```



(4)
Diffraction record for Ba2SrN2. The powder X-ray diffraction pattern is computed, not measured: it uses the PBE geometry in the Materials Project and a wavelength of 1.5418 Å.

Top 10 peaks for 10 to 90 degrees two-theta, by intensity:
27.67°, intensity 100
26.80°, intensity 93
32.49°, intensity 79
44.52°, intensity 64
29.60°, intensity 59
14.81°, intensity 29
55.55°, intensity 25
51.35°, intensity 18
57.14°, intensity 17
50.84°, intensity 16

Atomic structure:
```
10
Lattice="6.035 0.000 0.000 0.000 11.960 0.000 0.000 0.000 3.814" Properties=species:S:1:pos:R:3 pbc="T T T"
Ba 1.509 0.720 0.898
Ba 1.509 5.260 0.898
Ba 4.526 6.700 2.916
Ba 4.526 11.240 2.916
Sr 1.509 8.970 0.884
Sr 4.526 2.990 2.930
N 1.509 7.063 2.738
N 1.509 10.877 2.738
N 4.526 1.083 1.076
N 4.526 4.897 1.076
```



(5)
Diffraction record for BaSrN. The powder X-ray diffraction pattern is computed, not measured: it uses the PBE geometry in the Materials Project and a wavelength of 1.5418 Å.

Top 10 peaks for 10 to 90 degrees two-theta, by intensity:
27.26°, intensity 100
30.79°, intensity 84
12.15°, intensity 49
45.83°, intensity 32
24.44°, intensity 29
39.02°, intensity 26
52.62°, intensity 22
42.30°, intensity 19
53.30°, intensity 18
33.21°, intensity 17

Atomic structure:
```
9
Lattice="3.960 0.000 0.000 -1.980 3.429 0.000 0.000 0.000 21.849" Properties=species:S:1:pos:R:3 pbc="T T T"
Ba 0.000 0.000 0.000
Ba 0.000 2.286 14.566
Ba 1.980 1.143 7.283
Sr 0.000 0.000 10.178
Sr 0.000 2.286 2.894
Sr 1.980 1.143 17.461
N 0.000 0.000 16.088
N 0.000 2.286 8.805
N 1.980 1.143 1.522
```



(6)
Diffraction record for Ba2SrN2. The powder X-ray diffraction pattern is computed, not measured: it uses the PBE geometry in the Materials Project and a wavelength of 1.5418 Å.

Top 10 peaks for 10 to 90 degrees two-theta, by intensity:
27.53°, intensity 100
31.26°, intensity 82
46.19°, intensity 32
36.73°, intensity 30
16.79°, intensity 28
43.37°, intensity 20
50.88°, intensity 19
25.30°, intensity 19
54.62°, intensity 15
53.39°, intensity 15

Atomic structure:
```
5
Lattice="3.931 0.000 0.000 -1.965 3.404 0.000 0.000 0.000 10.561" Properties=species:S:1:pos:R:3 pbc="T T T"
Ba 0.000 2.269 3.005
Ba 1.965 1.135 7.556
Sr 0.000 0.000 0.000
N 0.000 2.269 8.863
N 1.965 1.135 1.698
```